For RbSmZnO3, a DFT-relaxed cell (PBE, Alexandria) gives the simulated powder XRD pattern in this record (λ = 1.5418 Å (Cu Kα)).

Structural model:
Unit cell a=8.0148 b=3.6240 c=8.3453 alpha=90.00 beta=105.40 gamma=90.00
Space group P2_1/m (No. 11)
Inequivalent atoms, fractional coordinates:
Rb (0.1926, 0.2500, 0.2094) (multiplicity 2)
Sm (0.3468, 0.7500, 0.8513) (multiplicity 2)
Zn (0.0795, 0.2500, 0.6132) (multiplicity 2)
O (0.1518, 0.2500, 0.8526) (multiplicity 2)
O (0.1617, 0.7500, 0.5438) (multiplicity 2)
O (0.4602, 0.7500, 0.1318) (multiplicity 2)

Top 6 peaks for 10° ≤ 2θ ≤ 80°, in order of falling intensity:
Position (°2θ)  I/Imax  index
13.62  100  1 0 -1
33.92  61  2 1 0
27.44  57  2 0 -2
33.27  43  0 1 2
33.72  42  2 1 -1
26.98  28  0 1 1